1.
Calculated powder diffraction line list
Compound: TaO3
Radiation: Cu Kα, 1.54184 Å
Structure: the PBE geometry in the Materials Project
Lines closer than 0.1° are merged.

Cell and atoms:
```
data_TaO3
_chemical_formula_sum 'Ta1 O3'
_symmetry_space_group_name_H-M 'P m -3 m'
_symmetry_Int_Tables_number 221
_symmetry_space_group_name_Hall '-P 4 2 3'
_cell_length_a 3.9603
_cell_length_b 3.9603
_cell_length_c 3.9603
_cell_angle_alpha 90.00
_cell_angle_beta 90.00
_cell_angle_gamma 90.00
loop_
_atom_site_label
_atom_site_type_symbol
_atom_site_fract_x
_atom_site_fract_y
_atom_site_fract_z
Ta1 Ta 0.0000 0.0000 0.0000
O1 O 0.0000 0.0000 0.5000
```

Main lines, by angle (10 to 90 degrees two-theta):
index  2theta  intensity
1 0 0  22.45  100
1 1 0  31.96  55
1 1 1  39.41  14
2 0 0  45.82  20
2 1 0  51.61  42
2 1 1  56.96  23
2 2 0  66.81  12
3 0 0  71.46  19
3 1 0  75.99  10
3 2 0  89.15  9

---

2.
Calculated powder diffraction line list
Compound: SnO2
Radiation: Cu Kα, 1.54184 Å
Structure: the PBE geometry in the Materials Project
Lines closer than 0.1° are merged.

Cell and atoms:
```
data_SnO2
_chemical_formula_sum 'Sn4 O8'
_symmetry_space_group_name_H-M 'P b c n'
_symmetry_Int_Tables_number 60
_symmetry_space_group_name_Hall '-P 2n 2ab'
_cell_length_a 4.7930
_cell_length_b 5.8308
_cell_length_c 5.3134
_cell_angle_alpha 90.00
_cell_angle_beta 90.00
_cell_angle_gamma 90.00
loop_
_atom_site_label
_atom_site_type_symbol
_atom_site_fract_x
_atom_site_fract_y
_atom_site_fract_z
Sn1 Sn 0.0000 0.1651 0.2500
O1 O 0.2302 0.1070 0.5782
```

Main lines, by angle (10 to 90 degrees two-theta):
index  2theta  intensity
1 1 0  24.03  33
1 1 1  29.40  100
0 0 2  33.74  17
0 2 1  35.11  25
1 1 2  41.85  13
1 3 0  50.68  16
2 0 2  51.35  19
2 2 1  52.33  28
1 1 3  57.70  17
1 3 2  62.28  17

---

3.
Calculated powder diffraction line list
Compound: Mg2Si
Radiation: Cu Kα, 1.54184 Å
Structure: the PBE geometry in the Materials Project
Lines closer than 0.1° are merged.

Cell and atoms:
```
data_Mg2Si
_chemical_formula_sum 'Mg4 Si2'
_symmetry_space_group_name_H-M 'P 63/m m c'
_symmetry_Int_Tables_number 194
_symmetry_space_group_name_Hall '-P 6c 2c'
_cell_length_a 4.6246
_cell_length_b 4.6246
_cell_length_c 6.0843
_cell_angle_alpha 90.00
_cell_angle_beta 90.00
_cell_angle_gamma 120.00
loop_
_atom_site_label
_atom_site_type_symbol
_atom_site_fract_x
_atom_site_fract_y
_atom_site_fract_z
Mg1 Mg 0.0000 0.0000 0.0000
Mg2 Mg 0.3333 0.6667 0.2500
Si1 Si 0.3333 0.6667 0.7500
```

Main lines, by angle (10 to 90 degrees two-theta):
index  2theta  intensity
0 0 2  29.36  10
1 0 2  37.11  100
1 1 0  38.95  99
1 1 2  49.51  12
2 0 2  54.89  31
0 0 4  60.90  8
2 1 2  69.34  29
3 0 0  70.54  16
1 1 4  74.70  27
2 2 0  83.64  10

---

4.
Calculated powder diffraction line list
Compound: NdTa2O6
Radiation: Cu Kα, 1.54184 Å
Structure: the PBE geometry in the Materials Project
Lines closer than 0.1° are merged.

Cell and atoms:
```
data_NdTa2O6
_chemical_formula_sum 'Nd1 Ta2 O6'
_symmetry_space_group_name_H-M 'P 4/m m m'
_symmetry_Int_Tables_number 123
_symmetry_space_group_name_Hall '-P 4 2'
_cell_length_a 3.9887
_cell_length_b 3.9887
_cell_length_c 7.9719
_cell_angle_alpha 90.00
_cell_angle_beta 90.00
_cell_angle_gamma 90.00
loop_
_atom_site_label
_atom_site_type_symbol
_atom_site_fract_x
_atom_site_fract_y
_atom_site_fract_z
Nd1 Nd 0.0000 0.0000 0.0000
Ta1 Ta 0.5000 0.5000 0.2581
O1 O 0.0000 0.5000 0.2214
O2 O 0.5000 0.5000 0.0000
O3 O 0.5000 0.5000 0.5000
```

Main lines, by angle (10 to 90 degrees two-theta):
index  2theta  intensity
0 0 1  11.10  18
1 0 0  22.29  34
1 0 1  24.96  15
1 1 0  31.73  100
2 0 0  45.49  29
1 1 3  46.98  7
2 1 0  51.22  14
1 1 4  56.53  41
2 2 0  66.29  18
3 1 0  75.37  17

---

5.
Calculated powder diffraction line list
Compound: Na5TlSn3
Radiation: Cu Kα, 1.54184 Å
Structure: the PBE geometry in the Materials Project
Lines closer than 0.1° are merged.

Cell and atoms:
```
data_Na5TlSn3
_chemical_formula_sum 'Na20 Tl4 Sn12'
_symmetry_space_group_name_H-M 'P 1 21/c 1'
_symmetry_Int_Tables_number 14
_symmetry_space_group_name_Hall '-P 2ybc'
_cell_length_a 7.2844
_cell_length_b 13.7834
_cell_length_c 11.5087
_cell_angle_alpha 90.00
_cell_angle_beta 105.10
_cell_angle_gamma 90.00
loop_
_atom_site_label
_atom_site_type_symbol
_atom_site_fract_x
_atom_site_fract_y
_atom_site_fract_z
Na1 Na 0.0400 0.0885 0.3454
Na2 Na 0.0569 0.1871 0.0350
Na3 Na 0.3447 0.5534 0.6635
Na4 Na 0.3675 0.6080 0.0253
Na5 Na 0.4460 0.6861 0.3708
Tl1 Tl 0.2207 0.0221 0.8885
Sn1 Sn 0.0620 0.6720 0.7775
Sn2 Sn 0.2624 0.0937 0.6308
Sn3 Sn 0.3405 0.2351 0.8315
```

Main lines, by angle (10 to 90 degrees two-theta):
index  2theta  intensity
1 1 0  14.14  52
1 1 -1  14.53  56
0 2 1  15.13  100
1 0 -2  17.58  40
1 1 1  17.79  54
1 1 3  30.76  43
2 3 -1  31.40  75
1 2 -4  34.04  35
1 4 2  34.76  54
2 0 -4  35.59  46

---

6.
Calculated powder diffraction line list
Compound: GeP
Radiation: Cu Kα, 1.54184 Å
Structure: the PBE geometry in the Materials Project
Lines closer than 0.1° are merged.

Cell and atoms:
```
data_GeP
_chemical_formula_sum 'Ge2 P2'
_symmetry_space_group_name_H-M 'I 4 m m'
_symmetry_Int_Tables_number 107
_symmetry_space_group_name_Hall 'I 4 -2'
_cell_length_a 3.5652
_cell_length_b 3.5652
_cell_length_c 5.7414
_cell_angle_alpha 90.00
_cell_angle_beta 90.00
_cell_angle_gamma 90.00
loop_
_atom_site_label
_atom_site_type_symbol
_atom_site_fract_x
_atom_site_fract_y
_atom_site_fract_z
Ge1 Ge 0.0000 0.0000 0.0000
P1 P 0.0000 0.0000 0.4198
```

Main lines, by angle (10 to 90 degrees two-theta):
index  2theta  intensity
1 0 1  29.49  75
0 0 2  31.16  59
1 1 0  35.61  100
1 1 2  48.03  67
2 0 0  51.25  34
1 0 3  54.41  32
2 1 1  60.24  20
2 0 2  61.20  32
2 1 3  78.00  22
3 1 0  86.28  15

---

7.
Calculated powder diffraction line list
Compound: K6MoN4
Radiation: Cu Kα, 1.54184 Å
Structure: the PBE geometry in the Materials Project
Lines closer than 0.1° are merged.

Cell and atoms:
```
data_K6MoN4
_chemical_formula_sum 'K12 Mo2 N8'
_symmetry_space_group_name_H-M 'P 42/n m c'
_symmetry_Int_Tables_number 137
_cell_length_a 8.2276
_cell_length_b 8.2276
_cell_length_c 6.7663
_cell_angle_alpha 90.00
_cell_angle_beta 90.00
_cell_angle_gamma 90.00
loop_
_symmetry_equiv_pos_as_xyz
'x,y,z'
'-x,-y,-z'
'-y+1/2,x,z+1/2'
'y+1/2,-x,-z+1/2'
'-x+1/2,-y+1/2,z'
'x+1/2,y+1/2,-z'
'y,-x+1/2,z+1/2'
'-y,x+1/2,-z+1/2'
'x+1/2,-y,-z'
'-x+1/2,y,z'
'-y,-x,-z+1/2'
'y,x,z+1/2'
'-x,y+1/2,-z'
'x,-y+1/2,z'
'y+1/2,x+1/2,-z+1/2'
'-y+1/2,-x+1/2,z+1/2'
loop_
_atom_site_label
_atom_site_type_symbol
_atom_site_fract_x
_atom_site_fract_y
_atom_site_fract_z
K1 K 0.0464 0.5464 0.2500
K2 K 0.2500 0.2500 0.0715
Mo1 Mo 0.2500 0.7500 0.7500
N1 N 0.0531 0.7500 0.5972
```

Main lines, by angle (10 to 90 degrees two-theta):
index  2theta  intensity
1 0 1  16.97  52
0 0 2  26.34  31
2 1 1  27.60  100
1 1 2  30.57  55
2 2 0  30.74  70
3 0 1  35.31  77
2 2 2  40.92  30
4 0 0  44.02  29
2 1 3  47.27  28
5 2 1  62.30  28

---

8.
Calculated powder diffraction line list
Compound: CuSnPd2
Radiation: Cu Kα, 1.54184 Å
Structure: the PBE geometry in the Materials Project
Lines closer than 0.1° are merged.

Cell and atoms:
```
data_CuSnPd2
_chemical_formula_sum 'Cu2 Sn2 Pd4'
_symmetry_space_group_name_H-M 'P 4/m m m'
_symmetry_Int_Tables_number 123
_symmetry_space_group_name_Hall '-P 4 2'
_cell_length_a 3.9878
_cell_length_b 3.9878
_cell_length_c 7.9682
_cell_angle_alpha 90.00
_cell_angle_beta 90.00
_cell_angle_gamma 90.00
loop_
_atom_site_label
_atom_site_type_symbol
_atom_site_fract_x
_atom_site_fract_y
_atom_site_fract_z
Cu1 Cu 0.0000 0.5000 0.0000
Sn1 Sn 0.0000 0.0000 0.2514
Pd1 Pd 0.0000 0.5000 0.5000
Pd2 Pd 0.5000 0.5000 0.2281
```

Main lines, by angle (10 to 90 degrees two-theta):
index  2theta  intensity
0 0 1  11.10  2
0 0 2  22.31  2
1 1 0  31.74  2
0 0 3  33.73  4
1 1 2  39.14  100
2 0 0  45.51  48
1 0 5  62.78  1
2 2 0  66.32  30
3 1 2  79.79  35
2 2 4  84.12  10

---

9.
Calculated powder diffraction line list
Compound: CaMg14C
Radiation: Cu Kα, 1.54184 Å
Structure: the PBE geometry in the Materials Project
Lines closer than 0.1° are merged.

Cell and atoms:
```
data_CaMg14C
_chemical_formula_sum 'Ca1 Mg14 C1'
_symmetry_space_group_name_H-M 'P -6 m 2'
_symmetry_Int_Tables_number 187
_symmetry_space_group_name_Hall 'P -6 2'
_cell_length_a 6.4210
_cell_length_b 6.4210
_cell_length_c 10.0386
_cell_angle_alpha 90.00
_cell_angle_beta 90.00
_cell_angle_gamma 120.00
loop_
_atom_site_label
_atom_site_type_symbol
_atom_site_fract_x
_atom_site_fract_y
_atom_site_fract_z
Ca1 Ca 0.0000 0.0000 0.0000
Mg1 Mg 0.0148 0.5074 0.0000
Mg2 Mg 0.1582 0.3165 0.2790
Mg3 Mg 0.5074 0.0148 0.5000
Mg4 Mg 0.6667 0.3333 0.2392
C1 C 0.0000 0.0000 0.5000
```

Main lines, by angle (10 to 90 degrees two-theta):
index  2theta  intensity
1 0 3  31.20  6
2 0 0  32.19  26
0 0 4  35.78  21
2 0 2  36.96  100
2 0 4  48.89  13
2 2 0  57.40  18
2 0 6  65.06  12
4 0 0  67.39  4
2 2 4  69.51  15
4 0 2  70.26  13

---

10.
Calculated powder diffraction line list
Compound: Rb3Pr
Radiation: Cu Kα, 1.54184 Å
Structure: the PBE geometry in the Materials Project
Lines closer than 0.1° are merged.

Cell and atoms:
```
data_Rb3Pr
_chemical_formula_sum 'Rb6 Pr2'
_symmetry_space_group_name_H-M 'P 63/m m c'
_symmetry_Int_Tables_number 194
_symmetry_space_group_name_Hall '-P 6c 2c'
_cell_length_a 9.1596
_cell_length_b 9.1596
_cell_length_c 7.5664
_cell_angle_alpha 90.00
_cell_angle_beta 90.00
_cell_angle_gamma 120.00
loop_
_atom_site_label
_atom_site_type_symbol
_atom_site_fract_x
_atom_site_fract_y
_atom_site_fract_z
Rb1 Rb 0.1726 0.3451 0.2500
Pr1 Pr 0.3333 0.6667 0.7500
```

Main lines, by angle (10 to 90 degrees two-theta):
index  2theta  intensity
2 0 0  22.42  23
0 0 2  23.52  27
2 0 1  25.35  100
2 0 2  32.71  17
2 2 0  39.35  20
2 0 3  42.47  25
2 2 2  46.35  25
4 0 1  47.39  18
4 2 1  63.24  14
2 2 4  63.82  10

---

11.
Calculated powder diffraction line list
Compound: Y3Ge13Pt4
Radiation: Cu Kα, 1.54184 Å
Structure: the PBE geometry in the Materials Project
Lines closer than 0.1° are merged.

Cell and atoms:
```
data_Y3Ge13Pt4
_chemical_formula_sum 'Y12 Ge52 Pt16'
_symmetry_space_group_name_H-M 'C 1 c 1'
_symmetry_Int_Tables_number 9
_symmetry_space_group_name_Hall 'C -2yc'
_cell_length_a 12.8910
_cell_length_b 12.8751
_cell_length_c 9.1705
_cell_angle_alpha 90.00
_cell_angle_beta 90.49
_cell_angle_gamma 90.00
loop_
_atom_site_label
_atom_site_type_symbol
_atom_site_fract_x
_atom_site_fract_y
_atom_site_fract_z
Y1 Y 0.0000 0.9997 0.0000
Y2 Y 0.1219 0.3759 0.2516
Y3 Y 0.3785 0.1223 0.2501
Ge1 Ge 0.0058 0.1601 0.2496
Ge2 Ge 0.0495 0.1698 0.7497
Ge3 Ge 0.0822 0.4189 0.5871
Ge4 Ge 0.0916 0.4104 0.8883
Ge5 Ge 0.1602 0.0133 0.2471
Ge6 Ge 0.1906 0.1939 0.0147
Ge7 Ge 0.1950 0.1915 0.4859
Ge8 Ge 0.2510 0.2445 0.7470
Ge9 Ge 0.3184 0.4306 0.7493
Ge10 Ge 0.3338 0.3330 0.1000
Ge11 Ge 0.3344 0.3349 0.3970
Ge12 Ge 0.3843 0.1194 0.8584
Ge13 Ge 0.4239 0.0723 0.5797
Pt1 Pt 0.0001 0.2502 0.9984
Pt2 Pt 0.0006 0.2507 0.4995
Pt3 Pt 0.2495 0.0020 0.9953
Pt4 Pt 0.2546 0.4988 0.0004
```

Main lines, by angle (10 to 90 degrees two-theta):
index  2theta  intensity
0 0 2  19.36  51
2 2 0  19.49  94
4 0 0  27.69  70
0 4 2  34.03  76
3 3 -2  35.31  50
5 1 0  35.52  100
4 4 0  39.57  77
6 2 0  44.49  64
6 2 -2  48.76  56
2 6 2  49.03  62